1.
The following is a simulated powder XRD pattern of K2P3H6. It was derived from the GGA-PBE geometry in Alexandria, using Cu Kα (λ = 1.5418 Å).
No peak broadening, texture or thermal motion is included.

Crystal structure
a b c (Å): 8.199 8.199 9.362
angles (deg): 116.25 116.25 59.58
Atoms (fractional coordinates):
K  0.164  0.663  0.987
K  0.337  0.836  0.513
K  0.663  0.164  0.487
K  0.836  0.337  0.013
P  0.067  0.933  0.750
P  0.249  0.433  0.246
P  0.433  0.249  0.746
P  0.567  0.751  0.254
P  0.751  0.567  0.754
P  0.933  0.067  0.250
H  0.105  0.728  0.668
H  0.165  0.395  0.328
H  0.228  0.335  0.663
H  0.272  0.895  0.832
H  0.335  0.228  0.163
H  0.395  0.165  0.828
H  0.605  0.835  0.172
H  0.665  0.772  0.837
H  0.728  0.105  0.168
H  0.772  0.665  0.337
H  0.835  0.605  0.672
H  0.895  0.272  0.332

The 10 most intense peaks (10° ≤ 2θ ≤ 90°), by angle:
| d/Å | 2θ/deg | I_rel |
| --- | --- | --- |
| 6.112 | 14.5 | 46 |
| 4.589 | 19.3 | 20 |
| 3.654 | 24.4 | 86 |
| 3.635 | 24.5 | 43 |
| 3.056 | 29.2 | 18 |
| 2.873 | 31.1 | 100 |
| 2.864 | 31.2 | 49 |
| 2.372 | 37.9 | 24 |
| 2.357 | 38.2 | 48 |
| 2.243 | 40.2 | 18 |

2.
The following is a simulated powder XRD pattern of Bi12SbO20. It was derived from the GGA-PBE geometry in Alexandria, using Cu Kα (λ = 1.5418 Å).
No peak broadening, texture or thermal motion is included.

Crystal structure
a b c (Å): 9.023 9.023 9.023
angles (deg): 109.47 109.47 109.47
Atoms (fractional coordinates):
Bi  0.143  0.840  0.339
Bi  0.160  0.303  0.499
Bi  0.196  0.697  0.857
Bi  0.303  0.499  0.160
Bi  0.339  0.143  0.840
Bi  0.499  0.160  0.303
Bi  0.501  0.804  0.661
Bi  0.661  0.501  0.804
Bi  0.697  0.857  0.196
Bi  0.804  0.661  0.501
Bi  0.840  0.339  0.143
Bi  0.857  0.196  0.697
Sb  0.000  0.000  0.000
O  0.000  0.000  0.386
O  0.000  0.000  0.776
O  0.000  0.386  0.000
O  0.000  0.776  0.000
O  0.112  0.363  0.737
O  0.224  0.224  0.224
O  0.251  0.888  0.625
O  0.263  0.627  0.375
O  0.363  0.737  0.112
O  0.373  0.637  0.749
O  0.375  0.263  0.627
O  0.386  0.000  0.000
O  0.614  0.614  0.614
O  0.625  0.251  0.888
O  0.627  0.375  0.263
O  0.637  0.749  0.373
O  0.737  0.112  0.363
O  0.749  0.373  0.637
O  0.776  0.000  0.000
O  0.888  0.625  0.251

The 10 most intense peaks (10° ≤ 2θ ≤ 90°), by angle:
| d/Å | 2θ/deg | I_rel |
| --- | --- | --- |
| 3.684 | 24.2 | 17 |
| 3.295 | 27.1 | 100 |
| 3.008 | 29.7 | 24 |
| 2.785 | 32.1 | 67 |
| 2.043 | 44.3 | 18 |
| 1.787 | 51.1 | 34 |
| 1.736 | 52.7 | 19 |
| 1.690 | 54.3 | 29 |
| 1.536 | 60.2 | 21 |
| 1.245 | 76.5 | 14 |

3.
The following is a simulated powder XRD pattern of Nd2AsPPt6. It was derived from the GGA-PBE geometry in Alexandria, using Cu Kα (λ = 1.5418 Å).
No peak broadening, texture or thermal motion is included.

Crystal structure
a b c (Å): 5.602 8.361 8.495
angles (deg): 90.00 90.00 90.00
Atoms (fractional coordinates):
Nd  0.250  0.005  0.237
Nd  0.250  0.495  0.237
Nd  0.750  0.505  0.763
Nd  0.750  0.995  0.763
As  0.250  0.750  0.787
As  0.750  0.250  0.213
P  0.250  0.250  0.753
P  0.750  0.750  0.247
Pt  0.002  0.750  0.492
Pt  0.004  0.250  0.976
Pt  0.250  0.503  0.627
Pt  0.250  0.997  0.627
Pt  0.496  0.250  0.976
Pt  0.498  0.750  0.492
Pt  0.502  0.250  0.508
Pt  0.504  0.750  0.024
Pt  0.750  0.003  0.373
Pt  0.750  0.497  0.373
Pt  0.996  0.750  0.024
Pt  0.998  0.250  0.508

The 10 most intense peaks (10° ≤ 2θ ≤ 90°), by angle:
| d/Å | 2θ/deg | I_rel |
| --- | --- | --- |
| 8.495 | 10.4 | 33 |
| 2.979 | 30.0 | 98 |
| 2.630 | 34.1 | 35 |
| 2.338 | 38.5 | 75 |
| 2.327 | 38.7 | 100 |
| 2.163 | 41.8 | 36 |
| 2.090 | 43.3 | 49 |
| 2.041 | 44.4 | 24 |
| 1.893 | 48.1 | 24 |
| 1.558 | 59.3 | 46 |

4.
The following is a simulated powder XRD pattern of Sr3Ta3N5. It was derived from the GGA-PBE geometry in Alexandria, using Cu Kα (λ = 1.5418 Å).
No peak broadening, texture or thermal motion is included.

Crystal structure
a b c (Å): 6.247 8.223 8.401
angles (deg): 108.96 102.60 102.94
Atoms (fractional coordinates):
Sr  0.145  0.351  0.381
Sr  0.179  0.183  0.733
Sr  0.234  0.937  0.093
Sr  0.766  0.063  0.907
Sr  0.821  0.817  0.267
Sr  0.855  0.649  0.619
Ta  0.228  0.518  0.098
Ta  0.400  0.806  0.458
Ta  0.407  0.626  0.814
Ta  0.593  0.374  0.186
Ta  0.600  0.194  0.542
Ta  0.772  0.482  0.902
N  0.098  0.547  0.863
N  0.231  0.249  0.072
N  0.278  0.016  0.433
N  0.293  0.733  0.640
N  0.481  0.409  0.665
N  0.519  0.591  0.335
N  0.707  0.267  0.360
N  0.722  0.984  0.567
N  0.769  0.751  0.928
N  0.902  0.453  0.137

The 10 most intense peaks (10° ≤ 2θ ≤ 90°), by angle:
| d/Å | 2θ/deg | I_rel |
| --- | --- | --- |
| 7.369 | 12.0 | 65 |
| 5.778 | 15.3 | 33 |
| 3.094 | 28.9 | 48 |
| 3.039 | 29.4 | 43 |
| 3.002 | 29.8 | 38 |
| 2.906 | 30.8 | 94 |
| 2.892 | 30.9 | 100 |
| 2.669 | 33.6 | 44 |
| 2.628 | 34.1 | 91 |
| 1.567 | 58.9 | 35 |

5.
The following is a simulated powder XRD pattern of Rb4InF5. It was derived from the GGA-PBE geometry in Alexandria, using Cu Kα (λ = 1.5418 Å).
No peak broadening, texture or thermal motion is included.

Crystal structure
a b c (Å): 6.955 6.955 6.955
angles (deg): 100.15 100.15 130.35
Atoms (fractional coordinates):
Rb  0.100  0.703  0.803
Rb  0.297  0.100  0.397
Rb  0.703  0.900  0.603
Rb  0.900  0.297  0.197
In  0.522  0.522  0.000
F  0.141  0.141  0.000
F  0.197  0.397  0.607
F  0.397  0.789  0.200
F  0.590  0.197  0.800
F  0.789  0.590  0.393

The 10 most intense peaks (10° ≤ 2θ ≤ 90°), by angle:
| d/Å | 2θ/deg | I_rel |
| --- | --- | --- |
| 3.296 | 27.1 | 100 |
| 2.920 | 30.6 | 39 |
| 2.823 | 31.7 | 77 |
| 2.030 | 44.6 | 53 |
| 1.996 | 45.4 | 27 |
| 1.750 | 52.3 | 19 |
| 1.707 | 53.7 | 31 |
| 1.648 | 55.8 | 26 |
| 1.297 | 72.9 | 17 |
| 1.159 | 83.4 | 16 |

6.
The following is a simulated powder XRD pattern of TlGa9Ag3. It was derived from the GGA-PBE geometry in Alexandria, using Cu Kα (λ = 1.5418 Å).
No peak broadening, texture or thermal motion is included.

Crystal structure
a b c (Å): 7.900 7.900 6.967
angles (deg): 97.68 97.68 139.53
Atoms (fractional coordinates):
Tl  0.000  0.000  0.000
Ga  0.000  0.000  0.500
Ga  0.006  0.648  0.643
Ga  0.281  0.504  0.781
Ga  0.352  0.994  0.357
Ga  0.496  0.719  0.219
Ga  0.504  0.281  0.781
Ga  0.648  0.006  0.643
Ga  0.719  0.496  0.219
Ga  0.994  0.352  0.357
Ag  0.000  0.500  0.000
Ag  0.500  0.000  0.000
Ag  0.500  0.500  0.500

The 10 most intense peaks (10° ≤ 2θ ≤ 90°), by angle:
| d/Å | 2θ/deg | I_rel |
| --- | --- | --- |
| 3.523 | 25.3 | 26 |
| 2.791 | 32.1 | 39 |
| 2.779 | 32.2 | 25 |
| 2.554 | 35.1 | 79 |
| 2.428 | 37.0 | 100 |
| 2.386 | 37.7 | 65 |
| 2.376 | 37.9 | 67 |
| 2.304 | 39.1 | 43 |
| 2.292 | 39.3 | 34 |
| 2.199 | 41.0 | 29 |

7.
The following is a simulated powder XRD pattern of YZrTe3. It was derived from the GGA-PBE geometry in Alexandria, using Cu Kα (λ = 1.5418 Å).
No peak broadening, texture or thermal motion is included.

Crystal structure
a b c (Å): 7.284 7.284 7.290
angles (deg): 99.92 99.92 120.26
Atoms (fractional coordinates):
Y  0.169  0.831  0.000
Y  0.831  0.169  0.000
Zr  0.331  0.669  0.500
Zr  0.669  0.331  0.500
Te  0.088  0.403  0.736
Te  0.263  0.263  0.256
Te  0.403  0.088  0.736
Te  0.597  0.912  0.264
Te  0.737  0.737  0.744
Te  0.912  0.597  0.264

The 10 most intense peaks (10° ≤ 2θ ≤ 90°), by angle:
| d/Å | 2θ/deg | I_rel |
| --- | --- | --- |
| 3.440 | 25.9 | 16 |
| 2.983 | 30.0 | 52 |
| 2.959 | 30.2 | 100 |
| 2.105 | 43.0 | 55 |
| 2.097 | 43.1 | 37 |
| 2.080 | 43.5 | 18 |
| 1.720 | 53.2 | 20 |
| 1.702 | 53.9 | 10 |
| 1.480 | 62.8 | 11 |
| 1.330 | 70.8 | 16 |

8.
The following is a simulated powder XRD pattern of Rb3LiZn2F9. It was derived from the GGA-PBE geometry in Alexandria, using Cu Kα (λ = 1.5418 Å).
No peak broadening, texture or thermal motion is included.

Crystal structure
a b c (Å): 5.884 5.884 7.246
angles (deg): 90.00 90.00 120.00
Atoms (fractional coordinates):
Rb  0.000  0.000  0.000
Rb  0.333  0.667  0.657
Rb  0.667  0.333  0.343
Li  0.000  0.000  0.500
Zn  0.333  0.667  0.169
Zn  0.667  0.333  0.831
F  0.000  0.500  0.000
F  0.171  0.342  0.322
F  0.171  0.829  0.322
F  0.342  0.171  0.678
F  0.500  0.000  0.000
F  0.500  0.500  0.000
F  0.658  0.829  0.322
F  0.829  0.171  0.678
F  0.829  0.658  0.678

The 10 most intense peaks (10° ≤ 2θ ≤ 90°), by angle:
| d/Å | 2θ/deg | I_rel |
| --- | --- | --- |
| 4.168 | 21.3 | 18 |
| 2.953 | 30.3 | 100 |
| 2.942 | 30.4 | 94 |
| 2.403 | 37.4 | 38 |
| 2.084 | 43.4 | 96 |
| 1.707 | 53.7 | 19 |
| 1.700 | 53.9 | 58 |
| 1.476 | 63.0 | 28 |
| 1.471 | 63.2 | 28 |
| 1.112 | 87.8 | 20 |

9.
The following is a simulated powder XRD pattern of Zr8C4N3. It was derived from the GGA-PBE geometry in Alexandria, using Cu Kα (λ = 1.5418 Å).
No peak broadening, texture or thermal motion is included.

Crystal structure
a b c (Å): 6.613 6.613 6.614
angles (deg): 119.93 119.93 90.08
Atoms (fractional coordinates):
Zr  0.243  0.243  0.486
Zr  0.244  0.244  0.999
Zr  0.244  0.756  0.000
Zr  0.252  0.748  0.500
Zr  0.748  0.252  0.500
Zr  0.756  0.244  0.000
Zr  0.756  0.756  0.001
Zr  0.757  0.757  0.514
C  0.000  0.000  0.000
C  0.000  0.500  0.000
C  0.500  0.000  0.000
C  0.500  0.500  0.500
N  0.000  0.000  0.500
N  0.000  0.500  0.500
N  0.500  0.000  0.500

The 10 most intense peaks (10° ≤ 2θ ≤ 90°), by angle:
| d/Å | 2θ/deg | I_rel |
| --- | --- | --- |
| 5.403 | 16.4 | 2 |
| 2.701 | 33.2 | 100 |
| 2.339 | 38.5 | 77 |
| 1.802 | 50.7 | 1 |
| 1.654 | 55.6 | 50 |
| 1.411 | 66.2 | 27 |
| 1.410 | 66.3 | 13 |
| 1.351 | 69.6 | 16 |
| 1.170 | 82.4 | 5 |
| 1.168 | 82.6 | 2 |

10.
The following is a simulated powder XRD pattern of ScCrIn2. It was derived from the GGA-PBE geometry in Alexandria, using Cu Kα (λ = 1.5418 Å).
No peak broadening, texture or thermal motion is included.

Crystal structure
a b c (Å): 6.192 8.519 3.193
angles (deg): 90.00 90.00 90.00
Atoms (fractional coordinates):
Sc  0.000  0.000  0.000
Sc  0.500  0.500  0.000
Cr  0.000  0.500  0.000
Cr  0.500  0.000  0.000
In  0.250  0.250  0.500
In  0.250  0.750  0.500
In  0.750  0.250  0.500
In  0.750  0.750  0.500

The 10 most intense peaks (10° ≤ 2θ ≤ 90°), by angle:
| d/Å | 2θ/deg | I_rel |
| --- | --- | --- |
| 4.260 | 20.9 | 30 |
| 3.193 | 27.9 | 15 |
| 2.555 | 35.1 | 100 |
| 2.504 | 35.9 | 94 |
| 2.223 | 40.6 | 66 |
| 2.130 | 42.4 | 29 |
| 1.971 | 46.1 | 16 |
| 1.538 | 60.2 | 39 |
| 1.346 | 69.9 | 24 |
| 1.324 | 71.2 | 23 |